# 1
Starting from a DFT-relaxed cell (GGA-PBE, Alexandria), the X-ray powder pattern of LaNd2Hg5 was calculated for Cu Kα.

Principal peaks in the range 2θ = 10–90°, in order of rising 2θ:
| 2θ/deg | Rel. int. |
| --- | --- |
| 23.4 | 20 |
| 33.4 | 1000 |
| 33.9 | 18 |
| 48.0 | 179 |
| 59.7 | 361 |
| 70.2 | 109 |
| 80.0 | 153 |
| 89.5 | 38 |

Crystal structure
```
LaNd2Hg5
1.0
5.3644 0.0000 0.0000
0.0000 5.3644 0.0000
0.0000 0.0000 15.1769
La Nd Hg
2 4 10
Direct
0.0000 0.0000 0.0000
0.5000 0.5000 0.5000
0.0000 0.0000 0.2700
0.0000 0.0000 0.7300
0.5000 0.5000 0.2300
0.5000 0.5000 0.7700
0.0000 0.0000 0.5000
0.0000 0.5000 0.1240
0.0000 0.5000 0.3760
0.0000 0.5000 0.6240
0.0000 0.5000 0.8760
0.5000 0.0000 0.1240
0.5000 0.0000 0.3760
0.5000 0.0000 0.6240
0.5000 0.0000 0.8760
0.5000 0.5000 0.0000
```

---

# 2
Starting from a DFT-relaxed cell (GGA-PBE, Alexandria), the X-ray powder pattern of Pu4Ge2S was calculated for Cu Kα.

Principal peaks in the range 2θ = 10–90°, in order of rising 2θ:
| 2θ/deg | Rel. int. |
| --- | --- |
| 17.3 | 464 |
| 20.5 | 414 |
| 21.8 | 517 |
| 32.9 | 627 |
| 34.2 | 570 |
| 34.9 | 1000 |
| 43.8 | 758 |
| 52.2 | 405 |

Crystal structure
```
Pu4Ge2S
1.0
8.1505 0.0000 0.0000
0.0000 10.2501 0.0000
0.0000 0.0000 3.5036
Pu Ge S
8 4 2
Direct
0.1735 0.2340 0.0000
0.2017 0.8788 0.5000
0.2983 0.3788 0.5000
0.3265 0.7340 0.0000
0.6735 0.2660 0.0000
0.7017 0.6212 0.5000
0.7983 0.1212 0.5000
0.8265 0.7660 0.0000
0.0669 0.6112 0.5000
0.4331 0.1112 0.5000
0.5669 0.8888 0.5000
0.9331 0.3888 0.5000
0.0000 0.0000 0.0000
0.5000 0.5000 0.0000
```

---

# 3
Starting from a DFT-relaxed cell (GGA-PBE, Alexandria), the X-ray powder pattern of YSi4Pt was calculated for Cu Kα.

Principal peaks in the range 2θ = 10–90°, in order of rising 2θ:
| 2θ/deg | Rel. int. |
| --- | --- |
| 21.0 | 634 |
| 34.6 | 887 |
| 40.8 | 1000 |
| 54.6 | 157 |
| 62.0 | 328 |
| 66.2 | 318 |
| 73.0 | 197 |
| 83.4 | 144 |

Crystal structure
```
YSi4Pt
1.0
0.0000 3.6656 3.6656
3.6656 0.0000 3.6656
3.6656 3.6656 0.0000
Y Si Pt
1 4 1
Direct
0.0000 0.0000 0.0000
0.3765 0.3765 0.3765
0.3765 0.3765 0.8704
0.3765 0.8704 0.3765
0.8704 0.3765 0.3765
0.7500 0.7500 0.7500
```